Structure and theoretical PXRD pattern of ReMo2Os (a DFT-relaxed cell (GGA-PBE, Alexandria); Cu Kα (weighted mean of Kα1 and Kα2)).

Structural model:
abc: 3.1159 4.4526 8.8420
angles: 90.00 90.00 90.00
Space group Cmmm (No. 65)
One atom of each set of equivalent atoms:
1 Re 0.0000 0.0000 0.0000 [2 per cell]
2 Mo 0.0000 0.5000 0.2508 [4 per cell]
3 Os 0.0000 0.0000 0.5000 [2 per cell]

Most intense lines, 2θ from 5° to 70°, by angle:
2θ 20.08, rel. 11, (0 0 2)
2θ 35.15, rel. 6, (1 1 0)
2θ 40.52, rel. 20, (0 2 0)
2θ 40.82, rel. 100, (1 1 2)
2θ 58.87, rel. 14, (0 2 4)
2θ 59.32, rel. 7, (2 0 0)

=====

Structure and theoretical PXRD pattern of Rb2IrSCl6 (a DFT-relaxed cell (GGA-PBE, Alexandria); Cu Kα (weighted mean of Kα1 and Kα2)).

Structural model:
abc: 7.9483 7.9483 9.0939
angles: 90.00 90.00 90.00
Space group I4/mmm (No. 139)
One atom of each set of equivalent atoms:
1 Rb 0.0000 0.5000 0.2500 [4 per cell]
2 Ir 0.0000 0.0000 0.0000 [2 per cell]
3 S 0.0000 0.0000 0.5000 [2 per cell]
4 Cl 0.0000 0.0000 0.2556 [4 per cell]
5 Cl 0.2116 0.2116 0.0000 [8 per cell]

Most intense lines, 2θ from 5° to 70°, by angle:
2θ 14.80, rel. 100, (1 0 1)
2θ 22.37, rel. 65, (2 0 0)
2θ 25.19, rel. 92, (1 1 2)
2θ 31.84, rel. 79, (2 2 0)
2θ 41.03, rel. 43, (3 1 2)
2θ 51.72, rel. 37, (2 2 4)

=====

Structure and theoretical PXRD pattern of LiNi2BiH (a DFT-relaxed cell (GGA-PBE, Alexandria); Cu Kα (weighted mean of Kα1 and Kα2)).

Structural model:
abc: 3.8782 3.8782 4.0154
angles: 90.00 90.00 90.00
Space group P4/mmm (No. 123)
One atom of each set of equivalent atoms:
1 Li 0.0000 0.0000 0.0000 [1 per cell]
2 Ni 0.0000 0.5000 0.5000 [2 per cell]
3 Bi 0.5000 0.5000 0.0000 [1 per cell]
4 H 0.0000 0.0000 0.5000 [1 per cell]

Most intense lines, 2θ from 5° to 70°, by angle:
2θ 22.93, rel. 69, (1 0 0)
2θ 32.09, rel. 63, (1 0 1)
2θ 39.81, rel. 100, (1 1 1)
2θ 46.85, rel. 32, (2 0 0)
2θ 57.92, rel. 24, (2 1 1)
2θ 67.11, rel. 21, (2 0 2)

=====

Structure and theoretical PXRD pattern of Na3CuRu3O8 (a DFT-relaxed cell (GGA-PBE, Alexandria); Cu Kα (weighted mean of Kα1 and Kα2)).

Structural model:
abc: 6.0639 6.0639 16.4775
angles: 90.00 90.00 120.00
Space group R-3m (No. 166, hexagonal axes)
One atom of each set of equivalent atoms:
1 Na 0.0000 0.5000 0.0000 [9 per cell]
2 Cu 0.0000 0.0000 0.5000 [3 per cell]
3 Ru 0.0000 0.5000 0.5000 [9 per cell]
4 O 0.0000 0.0000 0.2371 [6 per cell]
5 O 0.0037 0.5019 0.7672 [18 per cell]

Most intense lines, 2θ from 5° to 70°, by angle:
2θ 16.14, rel. 100, (0 0 3)
2θ 34.59, rel. 31, (0 2 1)
2θ 35.90, rel. 35, (2 0 2)
2θ 40.75, rel. 75, (0 2 4)
2θ 56.81, rel. 23, (2 0 8)
2θ 61.13, rel. 21, (2 2 0)

=====

Structure and theoretical PXRD pattern of LaGe2IrRh2 (a DFT-relaxed cell (GGA-PBE, Alexandria); Cu Kα (weighted mean of Kα1 and Kα2)).

Structural model:
abc: 4.6890 4.6890 5.5967
angles: 90.00 90.00 90.00
Space group P4/mmm (No. 123)
One atom of each set of equivalent atoms:
1 La 0.0000 0.0000 0.0000 [1 per cell]
2 Ge 0.0000 0.5000 0.5000 [2 per cell]
3 Ir 0.0000 0.0000 0.5000 [1 per cell]
4 Rh 0.5000 0.5000 0.2491 [2 per cell]

Most intense lines, 2θ from 5° to 70°, by angle:
2θ 15.83, rel. 29, (0 0 1)
2θ 26.89, rel. 62, (1 1 0)
2θ 37.43, rel. 100, (1 0 2)
2θ 38.39, rel. 76, (2 0 0)
2θ 54.70, rel. 67, (2 1 2)
2θ 55.42, rel. 26, (2 2 0)

=====

Structure and theoretical PXRD pattern of GaTcI (a DFT-relaxed cell (GGA-PBE, Alexandria); Cu Kα (weighted mean of Kα1 and Kα2)).

Structural model:
abc: 6.9849 12.3602 6.9620
angles: 90.00 90.00 90.00
Space group Cmce (No. 64)
One atom of each set of equivalent atoms:
1 Ga 0.2500 0.0682 0.2500 [8 per cell]
2 Tc 0.0000 0.0926 0.0044 [8 per cell]
3 I 0.0000 0.1860 0.6346 [8 per cell]

Most intense lines, 2θ from 5° to 70°, by angle:
2θ 19.38, rel. 57, (1 1 1)
2θ 25.51, rel. 63, (2 0 0)
2θ 29.57, rel. 100, (1 1 2)
2θ 31.68, rel. 86, (0 4 1)
2θ 32.12, rel. 85, (2 2 1)
2θ 40.83, rel. 89, (1 5 1)